Record 1
Sr2Au3: theoretical X-ray powder pattern (λ = 1.5418 Å (Cu Kα)), based on a DFT-relaxed cell (PBE, OQMD).
Neutral-atom scattering factors, no anomalous dispersion.

Crystal structure
abc: 8.4753 8.4753 4.0982
angles: 90.00 90.00 90.00
Fractional coordinates of all 10 atoms:
Sr: 0.1753 0.3247 0.0000
Sr: 0.3247 0.8247 0.0000
Sr: 0.6753 0.1753 0.0000
Sr: 0.8247 0.6753 0.0000
Au: 0.0000 0.0000 0.0000
Au: 0.1198 0.6198 0.5000
Au: 0.3802 0.1198 0.5000
Au: 0.5000 0.5000 0.0000
Au: 0.6198 0.8802 0.5000
Au: 0.8802 0.3802 0.5000

Most intense lines, 15 to 90 degrees two-theta, in order of rising 2θ:
2θ = 26.35°, I = 72; 2θ = 32.17°, I = 100; 2θ = 33.43°, I = 61; 2θ = 38.29°, I = 22; 2θ = 48.36°, I = 30; 2θ = 56.53°, I = 27

***

Record 2
Y2ThSc2: theoretical X-ray powder pattern (λ = 1.5418 Å (Cu Kα)), based on a DFT-relaxed cell (PBE, OQMD).
Neutral-atom scattering factors, no anomalous dispersion.

Crystal structure
abc: 8.8308 8.8308 8.8308
angles: 151.82 151.82 40.27
Fractional coordinates of all 5 atoms:
Y: 0.0000 0.0000 0.0000
Y: 0.1933 0.1933 0.0000
Th: 0.6222 0.6222 0.0000
Sc: 0.3390 0.8390 0.5000
Sc: 0.8390 0.3390 0.5000

Most intense lines, 15 to 90 degrees two-theta, in order of rising 2θ:
2θ = 26.26°, I = 79; 2θ = 29.38°, I = 43; 2θ = 31.34°, I = 100; 2θ = 34.15°, I = 80; 2θ = 42.03°, I = 40; 2θ = 55.22°, I = 41

***

Record 3
B2W7N15: theoretical X-ray powder pattern (λ = 1.5418 Å (Cu Kα)), based on a DFT-relaxed cell (PBE, OQMD).
Neutral-atom scattering factors, no anomalous dispersion.

Crystal structure
abc: 9.1346 9.1346 9.5348
angles: 96.88 96.88 18.38
Fractional coordinates of all 24 atoms:
B: 0.1647 0.1647 0.2210
B: 0.8353 0.8353 0.7790
W: 0.0000 0.0000 0.5000
W: 0.1888 0.1888 0.8899
W: 0.3126 0.3126 0.4591
W: 0.4870 0.4870 0.8446
W: 0.5130 0.5130 0.1554
W: 0.6874 0.6874 0.5409
W: 0.8112 0.8112 0.1101
N: 0.0000 0.0000 0.0000
N: 0.0068 0.0068 0.7167
N: 0.1798 0.1798 0.6822
N: 0.1965 0.1965 0.3834
N: 0.2226 0.2226 0.1133
N: 0.3786 0.3786 0.1018
N: 0.3816 0.3816 0.8015
N: 0.4250 0.4250 0.4931
N: 0.5750 0.5750 0.5069
N: 0.6185 0.6185 0.1985
N: 0.6214 0.6214 0.8982
N: 0.7774 0.7774 0.8867
N: 0.8035 0.8035 0.6166
N: 0.8202 0.8202 0.3178
N: 0.9932 0.9932 0.2833

Most intense lines, 15 to 90 degrees two-theta, in order of rising 2θ:
2θ = 19.84°, I = 62; 2θ = 28.29°, I = 92; 2θ = 29.95°, I = 91; 2θ = 35.03°, I = 100; 2θ = 36.03°, I = 77; 2θ = 36.82°, I = 94

***

Record 4
Cs2GdI4: theoretical X-ray powder pattern (λ = 1.5418 Å (Cu Kα)), based on a DFT-relaxed cell (PBE, OQMD).
Neutral-atom scattering factors, no anomalous dispersion.

Crystal structure
abc: 10.5872 10.5872 10.5872
angles: 146.52 146.52 48.07
Fractional coordinates of all 7 atoms:
Cs: 0.1386 0.1386 0.0000
Cs: 0.8614 0.8614 0.0000
Gd: 0.5000 0.5000 0.0000
I: 0.0000 0.5000 0.5000
I: 0.3370 0.3370 0.0000
I: 0.5000 0.0000 0.5000
I: 0.6630 0.6630 0.0000

Most intense lines, 15 to 90 degrees two-theta, in order of rising 2θ:
2θ = 20.60°, I = 46; 2θ = 27.70°, I = 100; 2θ = 29.29°, I = 93; 2θ = 40.73°, I = 55; 2θ = 41.90°, I = 35; 2θ = 50.97°, I = 50